No. 1
For NdSi2Ir3, a crystal structure in the Materials Project, relaxed with PBE gives the theoretical X-ray powder pattern in this record (CuKα).

Crystal structure
Cell: 6.7195 6.7195 6.7195 Å, 114.49 86.32 130.52°
Sites, in units of the cell vectors:
Nd: 0.4720 0.2220 0.2500
Nd: 0.5280 0.7780 0.7500
Si: 0.1226 0.7024 0.4203
Si: 0.2179 0.2976 0.9203
Si: 0.7821 0.7024 0.0797
Si: 0.8774 0.2976 0.5797
Ir: 0.0000 0.0000 0.5000
Ir: 0.0000 0.2201 0.2201
Ir: 0.0000 0.5000 0.0000
Ir: 0.0000 0.7799 0.7799
Ir: 0.5000 0.2201 0.7201
Ir: 0.5000 0.7799 0.2799

Principal peaks in the range 5 to 70 degrees two-theta, sorted by position:
| d [Å] | 2θ (°) | Rel. int. |
| --- | --- | --- |
| 3.636 | 24.48 | 348 |
| 2.917 | 30.65 | 929 |
| 2.451 | 36.67 | 522 |
| 2.439 | 36.85 | 1000 |
| 2.230 | 40.44 | 564 |
| 2.224 | 40.56 | 199 |
| 2.032 | 44.59 | 227 |
| 2.026 | 44.74 | 614 |
| 1.818 | 50.19 | 203 |
| 1.648 | 55.77 | 262 |
| 1.458 | 63.86 | 295 |
| 1.413 | 66.14 | 224 |



No. 2
For Sc2CoOs, a crystal structure in the Materials Project, relaxed with PBE gives the theoretical X-ray powder pattern in this record (CuKα).

Crystal structure
Cell: 6.3714 6.3714 6.3714 Å, 90.00 90.00 90.00°
Sites, in units of the cell vectors:
Sc: 0.2500 0.2500 0.2500
Sc: 0.2500 0.2500 0.7500
Sc: 0.2500 0.7500 0.2500
Sc: 0.2500 0.7500 0.7500
Sc: 0.7500 0.2500 0.2500
Sc: 0.7500 0.2500 0.7500
Sc: 0.7500 0.7500 0.2500
Sc: 0.7500 0.7500 0.7500
Co: 0.0000 0.0000 0.0000
Co: 0.0000 0.5000 0.5000
Co: 0.5000 0.0000 0.5000
Co: 0.5000 0.5000 0.0000
Os: 0.0000 0.0000 0.5000
Os: 0.0000 0.5000 0.0000
Os: 0.5000 0.0000 0.0000
Os: 0.5000 0.5000 0.5000

Principal peaks in the range 5 to 70 degrees two-theta, sorted by position:
| d [Å] | 2θ (°) | Rel. int. |
| --- | --- | --- |
| 3.679 | 24.19 | 327 |
| 3.186 | 28.01 | 282 |
| 2.253 | 40.03 | 1000 |
| 1.921 | 47.32 | 175 |
| 1.839 | 49.56 | 84 |
| 1.593 | 57.89 | 164 |
| 1.462 | 63.66 | 76 |
| 1.425 | 65.52 | 112 |



No. 3
For Er2Fe2Si2C, a crystal structure in the Materials Project, relaxed with PBE gives the theoretical X-ray powder pattern in this record (CuKα).

Crystal structure
Cell: 10.5035 3.9062 6.6790 Å, 90.00 129.42 90.00°
Sites, in units of the cell vectors:
Er: 0.0594 0.0000 0.2927
Er: 0.4406 0.5000 0.7073
Er: 0.5594 0.5000 0.2927
Er: 0.9406 0.0000 0.7073
Fe: 0.2021 0.5000 0.0970
Fe: 0.2979 0.0000 0.9030
Fe: 0.7021 0.0000 0.0970
Fe: 0.7979 0.5000 0.9030
Si: 0.1594 0.5000 0.7128
Si: 0.3406 0.0000 0.2872
Si: 0.6594 0.0000 0.7128
Si: 0.8406 0.5000 0.2872
C: 0.0000 0.5000 0.0000
C: 0.5000 0.0000 0.0000

Principal peaks in the range 5 to 70 degrees two-theta, sorted by position:
| d [Å] | 2θ (°) | Rel. int. |
| --- | --- | --- |
| 3.520 | 25.31 | 541 |
| 3.339 | 26.69 | 253 |
| 2.593 | 34.59 | 786 |
| 2.578 | 34.79 | 336 |
| 2.507 | 35.82 | 487 |
| 2.423 | 37.11 | 1000 |
| 2.224 | 40.57 | 240 |
| 2.147 | 42.10 | 216 |
| 1.953 | 46.50 | 267 |
| 1.738 | 52.65 | 192 |
| 1.541 | 60.05 | 216 |
| 1.400 | 66.84 | 273 |



No. 4
For KGaF4, a crystal structure in the Materials Project, relaxed with PBE gives the theoretical X-ray powder pattern in this record (CuKα).

Crystal structure
Cell: 12.4016 7.6232 7.8064 Å, 90.00 90.00 90.00°
Sites, in units of the cell vectors:
K: 0.0154 0.2500 0.1247
K: 0.0274 0.2500 0.6256
K: 0.4726 0.7500 0.1256
K: 0.4846 0.7500 0.6247
K: 0.5154 0.2500 0.3753
K: 0.5274 0.2500 0.8744
K: 0.9726 0.7500 0.3744
K: 0.9846 0.7500 0.8753
Ga: 0.2484 0.5007 0.3750
Ga: 0.2484 0.9993 0.3750
Ga: 0.2516 0.0007 0.8750
Ga: 0.2516 0.4993 0.8750
Ga: 0.7484 0.5007 0.1250
Ga: 0.7484 0.9993 0.1250
Ga: 0.7516 0.0007 0.6250
Ga: 0.7516 0.4993 0.6250
F: 0.1014 0.0443 0.3659
F: 0.1014 0.4557 0.3659
F: 0.1047 0.0464 0.8845
F: 0.1047 0.4536 0.8845
F: 0.2125 0.7500 0.4106
F: 0.2170 0.7500 0.8395
F: 0.2458 0.0398 0.6250
F: 0.2458 0.4602 0.6250
F: 0.2542 0.5398 0.1250
F: 0.2542 0.9602 0.1250
F: 0.2830 0.2500 0.3395
F: 0.2875 0.2500 0.9106
F: 0.3953 0.5464 0.3845
F: 0.3953 0.9536 0.3845
F: 0.3986 0.5443 0.8659
F: 0.3986 0.9557 0.8659
F: 0.6014 0.0443 0.1341
F: 0.6014 0.4557 0.1341
F: 0.6047 0.0464 0.6155
F: 0.6047 0.4536 0.6155
F: 0.7125 0.7500 0.0894
F: 0.7170 0.7500 0.6605
F: 0.7458 0.0398 0.8750
F: 0.7458 0.4602 0.8750
F: 0.7542 0.5398 0.3750
F: 0.7542 0.9602 0.3750
F: 0.7830 0.2500 0.1605
F: 0.7875 0.2500 0.5894
F: 0.8953 0.5464 0.1155
F: 0.8953 0.9536 0.1155
F: 0.8986 0.5443 0.6341
F: 0.8986 0.9557 0.6341

Principal peaks in the range 5 to 70 degrees two-theta, sorted by position:
| d [Å] | 2θ (°) | Rel. int. |
| --- | --- | --- |
| 6.201 | 14.28 | 752 |
| 3.812 | 23.34 | 265 |
| 3.723 | 23.90 | 1000 |
| 3.345 | 26.65 | 248 |
| 3.247 | 27.47 | 927 |
| 3.100 | 28.80 | 439 |
| 2.663 | 33.66 | 505 |
| 2.099 | 43.10 | 211 |
| 1.952 | 46.53 | 319 |
| 1.906 | 47.72 | 235 |
| 1.817 | 50.21 | 281 |
| 1.673 | 54.89 | 280 |



No. 5
For Ba4LiTa3O12, a crystal structure in the Materials Project, relaxed with PBE gives the theoretical X-ray powder pattern in this record (CuKα).

Crystal structure
Cell: 5.8632 5.8632 19.3566 Å, 90.00 90.00 120.00°
Sites, in units of the cell vectors:
Ba: 0.0000 0.0000 0.0000
Ba: 0.0000 0.0000 0.5000
Ba: 0.3333 0.6667 0.1420
Ba: 0.3333 0.6667 0.3666
Ba: 0.3333 0.6667 0.7451
Ba: 0.6667 0.3333 0.2451
Ba: 0.6667 0.3333 0.6420
Ba: 0.6667 0.3333 0.8666
Li: 0.0000 0.0000 0.1632
Li: 0.0000 0.0000 0.6632
Ta: 0.0000 0.0000 0.3070
Ta: 0.0000 0.0000 0.8070
Ta: 0.3333 0.6667 0.5628
Ta: 0.3333 0.6667 0.9365
Ta: 0.6667 0.3333 0.0628
Ta: 0.6667 0.3333 0.4365
O: 0.0029 0.5014 0.9935
O: 0.1587 0.3173 0.2548
O: 0.1587 0.8413 0.2548
O: 0.1694 0.3389 0.8759
O: 0.1694 0.8306 0.8759
O: 0.1738 0.3476 0.6147
O: 0.1738 0.8262 0.6147
O: 0.3173 0.1587 0.7548
O: 0.3389 0.1694 0.3759
O: 0.3476 0.1738 0.1147
O: 0.4986 0.5014 0.9935
O: 0.4986 0.9971 0.9935
O: 0.5014 0.0029 0.4935
O: 0.5014 0.4986 0.4935
O: 0.6524 0.8262 0.6147
O: 0.6611 0.8306 0.8759
O: 0.6827 0.8413 0.2548
O: 0.8262 0.1738 0.1147
O: 0.8262 0.6524 0.1147
O: 0.8306 0.1694 0.3759
O: 0.8306 0.6611 0.3759
O: 0.8413 0.1587 0.7548
O: 0.8413 0.6827 0.7548
O: 0.9971 0.4986 0.4935

Principal peaks in the range 5 to 70 degrees two-theta, sorted by position:
| d [Å] | 2θ (°) | Rel. int. |
| --- | --- | --- |
| 3.503 | 25.43 | 249 |
| 3.079 | 29.00 | 751 |
| 2.932 | 30.49 | 1000 |
| 2.723 | 32.89 | 235 |
| 2.123 | 42.58 | 384 |
| 1.995 | 45.46 | 154 |
| 1.809 | 50.46 | 149 |
| 1.719 | 53.27 | 280 |
| 1.693 | 54.19 | 203 |
| 1.539 | 60.11 | 113 |
| 1.466 | 63.46 | 184 |
| 1.363 | 68.90 | 131 |